Entry 1:
Diffraction record for PmErTcPd. The XRD peak list is computed, not measured: it uses the GGA-PBE geometry in Alexandria and Cu Kα, 1.54184 Å.

The 6 most intense peaks (2θ = 5–70°), sorted by position:
25.6°, I 5; 36.5°, I 100; 45.1°, I 1; 52.6°, I 17; 59.3°, I 2; 65.7°, I 35

Unit cell a=4.9251 b=4.9251 c=4.9251 alpha=60.00 beta=60.00 gamma=60.00
Positions (direct):
1 Pm 0.0000 0.0000 0.0000
2 Er 0.5000 0.5000 0.5000
3 Tc 0.2500 0.2500 0.2500
4 Pd 0.7500 0.7500 0.7500

Entry 2:
Diffraction record for PrErPd. The XRD peak list is computed, not measured: it uses the GGA-PBE geometry in Alexandria and Cu Kα, 1.54184 Å.

The 10 most intense peaks (2θ = 5–70°), sorted by position:
26.3°, I 39; 28.5°, I 35; 29.8°, I 46; 32.0°, I 100; 32.2°, I 39; 35.5°, I 42; 37.7°, I 43; 40.8°, I 32; 44.4°, I 34; 55.0°, I 32

Unit cell a=7.1390 b=6.0832 c=10.4818 alpha=90.00 beta=128.87 gamma=90.00
Positions (direct):
1 Pr 0.1985 0.1375 0.3859
2 Pr 0.1985 0.3625 0.8859
3 Pr 0.8015 0.6375 0.1141
4 Pr 0.8015 0.8625 0.6141
5 Er 0.3250 0.6322 0.6310
6 Er 0.3250 0.8678 0.1310
7 Er 0.6750 0.1322 0.8690
8 Er 0.6750 0.3678 0.3690
9 Pd 0.3249 0.6327 0.3591
10 Pd 0.3249 0.8673 0.8591
11 Pd 0.6751 0.1327 0.1409
12 Pd 0.6751 0.3673 0.6409

Entry 3:
Diffraction record for PrErPdPt. The XRD peak list is computed, not measured: it uses the GGA-PBE geometry in Alexandria and Cu Kα, 1.54184 Å.

The 10 most intense peaks (2θ = 5–70°), sorted by position:
16.5°, I 13; 31.7°, I 95; 33.3°, I 29; 34.2°, I 15; 38.9°, I 19; 39.7°, I 100; 47.5°, I 18; 52.8°, I 22; 59.2°, I 11; 63.6°, I 15

Unit cell a=4.5370 b=5.7180 c=5.7180 alpha=39.09 beta=90.00 gamma=90.00
Positions (direct):
1 Pr 0.0000 0.0000 0.0000
2 Er 0.5000 0.7261 0.7261
3 Pd 0.5000 0.4457 0.4457
4 Pt 0.0000 0.2726 0.2726

Entry 4:
Diffraction record for PrErSi2Pd5. The XRD peak list is computed, not measured: it uses the GGA-PBE geometry in Alexandria and Cu Kα, 1.54184 Å.

The 10 most intense peaks (2θ = 5–70°), sorted by position:
9.8°, I 4; 21.0°, I 5; 29.0°, I 10; 36.1°, I 100; 36.7°, I 4; 40.0°, I 16; 42.8°, I 36; 45.6°, I 5; 60.0°, I 19; 62.2°, I 12

Unit cell a=4.2232 b=4.2232 c=9.0263 alpha=90.00 beta=90.00 gamma=90.00
Positions (direct):
1 Pr 0.0000 0.0000 0.0000
2 Er 0.0000 0.0000 0.5000
3 Si 0.5000 0.5000 0.3704
4 Si 0.5000 0.5000 0.6296
5 Pd 0.0000 0.5000 0.2392
6 Pd 0.0000 0.5000 0.7608
7 Pd 0.5000 0.0000 0.2392
8 Pd 0.5000 0.0000 0.7608
9 Pd 0.5000 0.5000 0.0000